The following is a simulated PXRD pattern of Li2VFeP4O14. It was derived from DFT lattice parameters and positions (GGA+U), using Cu Kα X-rays.

Structural model:
```
Li2VFeP4O14
1.0
7.0395 0.0000 0.0000
0.0000 8.2459 0.0000
-3.1658 0.0000 9.2346
Li V Fe P O
4 2 2 8 28
Direct
0.1771 0.0000 0.0878
0.1775 0.9998 0.5877
0.8225 0.4998 0.4123
0.8229 0.5000 0.9122
0.2285 0.6355 0.6078
0.7715 0.1355 0.3922
0.2315 0.6355 0.1085
0.7685 0.1355 0.8915
0.0214 0.3167 0.7004
0.0222 0.3166 0.1998
0.4145 0.4198 0.8943
0.4147 0.4202 0.3942
0.5853 0.9202 0.6058
0.5855 0.9198 0.1057
0.9778 0.8166 0.8002
0.9786 0.8167 0.2996
0.0053 0.4803 0.6233
0.0070 0.4817 0.1234
0.0174 0.6737 0.4060
0.0175 0.6737 0.9061
0.1053 0.8155 0.6988
0.1058 0.8148 0.1985
0.2539 0.2893 0.7973
0.2536 0.2896 0.2975
0.3518 0.4594 0.5259
0.3529 0.4603 0.0261
0.3834 0.8304 0.0650
0.3843 0.8323 0.5644
0.4167 0.5702 0.3010
0.4189 0.5700 0.8024
0.5811 0.0700 0.1976
0.5833 0.0702 0.6990
0.6157 0.3323 0.4356
0.6166 0.3304 0.9350
0.6471 0.9603 0.9739
0.6482 0.9594 0.4741
0.7461 0.7893 0.2027
0.7464 0.7896 0.7025
0.8942 0.3148 0.8015
0.8947 0.3155 0.3012
0.9825 0.1737 0.0939
0.9826 0.1737 0.5940
0.9930 0.9817 0.8766
0.9947 0.9803 0.3767
```

Largest 10 diffraction maxima, low angle first, 2θ from 10° to 80°:
Position (°2θ)	d (Å)	I/Imax	(hkl)
17.12	5.181	100	1 1 0
22.06	4.029	22	0 1 2
22.33	3.982	45	1 1 -2
25.41	3.505	17	1 2 0
26.83	3.323	24	1 0 2
28.95	3.084	29	1 1 2
29.24	3.054	58	1 2 -2
29.58	3.020	28	2 1 -2
34.64	2.590	16	2 2 0
43.12	2.098	15	2 3 -2